[1]
Starting from a cell relaxed with PBE, the powder XRD pattern of Ac3TaS6 was computed for Cu Kα (λ = 1.5418 Å).
Intensities are scaled so that the largest is 100.

Top 8 peaks for 2θ from 15° to 90°, in order of falling intensity:
2θ = 23.52°, I 100.0; 2θ = 23.86°, I 67.1; 2θ = 39.19°, I 34.5; 2θ = 35.90°, I 34.4; 2θ = 35.23°, I 31.5; 2θ = 45.46°, I 19.5; 2θ = 25.50°, I 18.5; 2θ = 47.34°, I 17.3

Atomic structure:
```
data_Ac3TaS6
_chemical_formula_sum 'Ac12 Ta4 S24'
_cell_length_a 11.5666
_cell_length_b 14.3205
_cell_length_c 6.9857
_cell_angle_alpha 90.00
_cell_angle_beta 90.00
_cell_angle_gamma 90.00
_space_group_name_H-M_alt 'C m c 21'
_space_group_IT_number 36
_space_group_name_Hall 'C 2c -2'
loop_
_atom_site_label
_atom_site_fract_x
_atom_site_fract_y
_atom_site_fract_z
Ac1 0.0000 0.1039 0.0000
Ac2 0.1826 0.4023 0.0584
Ta1 0.0000 0.3112 0.6110
S1 0.0000 0.2829 0.2746
S2 0.0000 0.4658 0.7513
S3 0.1587 0.0187 0.2807
S4 0.1587 0.2418 0.7661
```



[2]
Starting from a cell relaxed with PBE, the powder XRD pattern of Ac4TbS7 was computed for Cu Kα (λ = 1.5418 Å).
Intensities are scaled so that the largest is 100.

Top 8 peaks for 2θ from 15° to 90°, in order of falling intensity:
2θ = 22.65°, I 100.0; 2θ = 23.01°, I 92.5; 2θ = 43.70°, I 56.5; 2θ = 30.51°, I 55.7; 2θ = 25.52°, I 55.0; 2θ = 31.70°, I 44.0; 2θ = 24.28°, I 42.1; 2θ = 39.66°, I 35.9

Atomic structure:
```
data_Ac4TbS7
_chemical_formula_sum 'Ac8 Tb2 S14'
_cell_length_a 13.9642
_cell_length_b 4.1442
_cell_length_c 12.1861
_cell_angle_alpha 90.00
_cell_angle_beta 105.66
_cell_angle_gamma 90.00
_space_group_name_H-M_alt 'C 1 m 1'
_space_group_IT_number 8
_space_group_name_Hall 'C -2y'
loop_
_atom_site_label
_atom_site_fract_x
_atom_site_fract_y
_atom_site_fract_z
Ac1 0.0000 0.0000 0.0000
Ac2 0.0918 0.5000 0.3750
Ac3 0.1972 0.0000 0.7689
Ac4 0.3922 0.5000 0.5631
Tb1 0.2765 0.5000 0.1448
S1 0.0531 0.5000 0.6199
S2 0.1324 0.5000 0.9324
S3 0.1656 0.0000 0.2170
S4 0.2315 0.0000 0.5201
S5 0.3505 0.5000 0.7839
S6 0.3721 0.0000 0.0644
S7 0.4314 0.5000 0.3382
```



[3]
Starting from a cell relaxed with PBE, the powder XRD pattern of AcTbY4S8 was computed for Cu Kα (λ = 1.5418 Å).
Intensities are scaled so that the largest is 100.

Top 8 peaks for 2θ from 15° to 90°, in order of falling intensity:
2θ = 25.52°, I 100.0; 2θ = 44.26°, I 55.7; 2θ = 40.49°, I 46.5; 2θ = 21.71°, I 40.1; 2θ = 61.52°, I 24.0; 2θ = 38.08°, I 18.2; 2θ = 81.45°, I 17.0; 2θ = 51.78°, I 14.9

Atomic structure:
```
data_AcTbY4S8
_chemical_formula_sum 'Ac3 Tb3 Y12 S24'
_cell_length_a 8.1840
_cell_length_b 8.1840
_cell_length_c 20.0658
_cell_angle_alpha 90.00
_cell_angle_beta 90.00
_cell_angle_gamma 120.00
_space_group_name_H-M_alt 'R 3 m'
_space_group_IT_number 160
_space_group_name_Hall 'R 3 -2"'
loop_
_atom_site_label
_atom_site_fract_x
_atom_site_fract_y
_atom_site_fract_z
Ac1 0.0000 0.0000 0.0000
Tb1 0.0000 0.0000 0.6231
Y1 0.0000 0.0000 0.2502
Y2 0.0061 0.5031 0.1260
S1 0.0000 0.0000 0.3816
S2 0.0000 0.0000 0.8599
S3 0.0399 0.5199 0.3805
S4 0.1751 0.3502 0.2063
```



[4]
Starting from a cell relaxed with PBE, the powder XRD pattern of Ac2TbZrS6 was computed for Cu Kα (λ = 1.5418 Å).
Intensities are scaled so that the largest is 100.

Top 8 peaks for 2θ from 15° to 90°, in order of falling intensity:
2θ = 24.40°, I 100.0; 2θ = 17.39°, I 39.1; 2θ = 38.44°, I 36.8; 2θ = 23.87°, I 32.6; 2θ = 25.47°, I 31.8; 2θ = 35.18°, I 28.7; 2θ = 42.30°, I 26.3; 2θ = 34.36°, I 20.4

Atomic structure:
```
data_Ac2TbZrS6
_chemical_formula_sum 'Ac4 Tb2 Zr2 S12'
_cell_length_a 10.2208
_cell_length_b 10.4386
_cell_length_c 6.9952
_cell_angle_alpha 90.00
_cell_angle_beta 133.17
_cell_angle_gamma 90.00
_space_group_name_H-M_alt 'C 1 m 1'
_space_group_IT_number 8
_space_group_name_Hall 'C -2y'
loop_
_atom_site_label
_atom_site_fract_x
_atom_site_fract_y
_atom_site_fract_z
Ac1 0.0000 0.2144 0.0000
Tb1 0.0795 0.5000 0.4962
Zr1 0.1070 0.0000 0.5331
S1 0.1030 0.2450 0.5261
S2 0.2564 0.0000 0.3450
S3 0.3136 0.5000 0.0314
S4 0.4080 0.5000 0.6336
S5 0.4231 0.0000 0.9927
```